Entry 1:
CaPbO2: theoretical powder XRD pattern (λ = 1.5418 Å (Cu Kα)), based on a crystal structure in Alexandria, relaxed with GGA-PBE.
Intensities are scaled so that the largest is 100.

a b c (Å): 12.8255 12.8255 8.6474
angles (deg): 90.00 90.00 120.00
Space group R-3 (No. 148, hexagonal axes)
Unique sites:
Ca 0.0341 0.5914 0.1680 x18
Pb 0.0517 0.1727 0.8181 x18
O 0.0035 0.4252 0.3373 x18
O 0.0534 0.1978 0.3246 x18

Principal peaks in the range 2θ = 10–80°, in order of rising 2θ:
13.0°, 6.823 Å, rel. 40, (1 0 1)
22.1°, 4.029 Å, rel. 41, (0 1 2)
30.8°, 2.902 Å, rel. 92, (4 -3 1)
31.0°, 2.882 Å, rel. 27, (0 0 3)
35.8°, 2.509 Å, rel. 100, (3 1 2)
51.4°, 1.779 Å, rel. 35, (2 5 0)
51.7°, 1.770 Å, rel. 31, (4 -3 4)
61.2°, 1.514 Å, rel. 28, (2 5 3)



Entry 2:
PmDy3In3: theoretical powder XRD pattern (λ = 1.5418 Å (Cu Kα)), based on a crystal structure in Alexandria, relaxed with GGA-PBE.
Intensities are scaled so that the largest is 100.

a b c (Å): 9.370 9.370 9.370
angles (deg): 90.00 90.00 90.00
Space group P2_13 (No. 198)
Unique sites:
Pm 0.069 0.431 0.569 x4
Dy 0.084 0.584 0.916 x4
Dy 0.176 0.176 0.176 x4
Dy 0.178 0.822 0.322 x4
In 0.001 0.260 0.882 x12

Principal peaks in the range 2θ = 10–80°, in order of rising 2θ:
30.2°, 2.963 Å, rel. 100, (3 1 0)
35.9°, 2.504 Å, rel. 74, (3 2 1)
47.5°, 1.913 Å, rel. 20, (4 2 2)
49.6°, 1.838 Å, rel. 22, (4 1 3)
61.0°, 1.520 Å, rel. 25, (6 1 1)
62.7°, 1.481 Å, rel. 12, (6 2 0)
64.4°, 1.446 Å, rel. 15, (5 1 4)
74.4°, 1.275 Å, rel. 12, (5 5 2)



Entry 3:
Pa2TlCd2O7: theoretical powder XRD pattern (λ = 1.5418 Å (Cu Kα)), based on a crystal structure in Alexandria, relaxed with GGA-PBE.
Intensities are scaled so that the largest is 100.

a b c (Å): 4.363 4.368 21.789
angles (deg): 90.00 90.00 90.00
Space group Immm (No. 71)
Unique sites:
Pa 0.000 0.000 0.101 x4
Tl 0.000 0.000 0.500 x2
Cd 0.000 0.500 0.249 x4
O 0.000 0.000 0.000 x2
O 0.000 0.000 0.208 x4
O 0.000 0.500 0.103 x4
O 0.000 0.500 0.398 x4

Principal peaks in the range 2θ = 10–80°, in order of rising 2θ:
20.8°, 4.281 Å, rel. 19, (1 0 1)
23.8°, 3.742 Å, rel. 47, (1 0 3)
28.9°, 3.085 Å, rel. 100, (0 1 5)
30.1°, 2.970 Å, rel. 59, (1 1 2)
32.9°, 2.724 Å, rel. 16, (0 0 8)
41.4°, 2.183 Å, rel. 43, (2 0 0)
51.3°, 1.781 Å, rel. 71, (1 1 10)
59.9°, 1.543 Å, rel. 22, (2 2 0)



Entry 4:
CrNi6: theoretical powder XRD pattern (λ = 1.5418 Å (Cu Kα)), based on a crystal structure in Alexandria, relaxed with GGA-PBE.
Intensities are scaled so that the largest is 100.

a b c (Å): 3.9724 3.9724 16.9846
angles (deg): 90.00 90.00 120.00
Space group R-3m (No. 166, hexagonal axes)
Unique sites:
Cr 0.0000 0.0000 0.0000 x3
Ni 0.0000 0.0000 0.1417 x6
Ni 0.0000 0.0000 0.2869 x6
Ni 0.0000 0.0000 0.4298 x6

Principal peaks in the range 2θ = 10–80°, in order of rising 2θ:
45.7°, 1.985 Å, rel. 100, (1 1 0)
66.6°, 1.403 Å, rel. 15, (0 2 7)



Entry 5:
Na5Ge2O6: theoretical powder XRD pattern (λ = 1.5418 Å (Cu Kα)), based on a crystal structure in Alexandria, relaxed with GGA-PBE.
Intensities are scaled so that the largest is 100.

a b c (Å): 10.138 6.082 13.713
angles (deg): 90.00 92.30 90.00
Space group C2/c (No. 15)
Unique sites:
Na 0.000 0.038 0.250 x4
Na 0.081 0.262 0.992 x8
Na 0.142 0.487 0.210 x8
Ge 0.215 0.321 0.408 x8
O 0.047 0.369 0.374 x8
O 0.176 0.141 0.687 x8
O 0.237 0.042 0.472 x8

Principal peaks in the range 2θ = 10–80°, in order of rising 2θ:
17.5°, 5.065 Å, rel. 42, (2 0 0)
18.1°, 4.907 Å, rel. 100, (1 1 -1)
18.3°, 4.840 Å, rel. 33, (1 1 1)
26.2°, 3.401 Å, rel. 22, (1 1 3)
30.8°, 2.907 Å, rel. 28, (3 1 -1)
31.2°, 2.865 Å, rel. 21, (3 1 1)
32.2°, 2.784 Å, rel. 44, (2 0 4)
47.7°, 1.906 Å, rel. 26, (1 3 2)



Entry 6:
Ba2SrGeSe4: theoretical powder XRD pattern (λ = 1.5418 Å (Cu Kα)), based on a crystal structure in Alexandria, relaxed with GGA-PBE.
Intensities are scaled so that the largest is 100.

a b c (Å): 8.971 9.013 12.714
angles (deg): 90.00 90.00 90.00
Space group Imma (No. 74)
Unique sites:
Ba 0.000 0.000 0.000 x4
Ba 0.250 0.250 0.250 x4
Sr 0.250 0.250 0.750 x4
Ge 0.000 0.000 0.500 x4
Se 0.000 0.010 0.738 x8
Se 0.227 0.250 0.505 x8

Principal peaks in the range 2θ = 10–80°, in order of rising 2θ:
28.1°, 3.179 Å, rel. 100, (2 2 0)
40.0°, 2.253 Å, rel. 13, (0 4 0)
40.1°, 2.247 Å, rel. 61, (2 2 4)
49.6°, 1.838 Å, rel. 13, (0 4 4)
49.8°, 1.833 Å, rel. 12, (4 0 4)
58.0°, 1.589 Å, rel. 12, (4 4 0)
65.7°, 1.422 Å, rel. 21, (4 4 4)
72.8°, 1.299 Å, rel. 12, (2 6 4)



Entry 7:
NdY2Ho2Sc: theoretical powder XRD pattern (λ = 1.5418 Å (Cu Kα)), based on a crystal structure in Alexandria, relaxed with GGA-PBE.
Intensities are scaled so that the largest is 100.

a b c (Å): 6.516 17.471 3.355
angles (deg): 90.00 90.00 90.00
Space group Pnnm (No. 58)
Unique sites:
Nd 0.000 0.000 0.000 x2
Y 0.247 0.317 0.000 x4
Ho 0.248 0.146 0.500 x4
Sc 0.000 0.500 0.000 x2

Principal peaks in the range 2θ = 10–80°, in order of rising 2θ:
17.0°, 5.223 Å, rel. 26, (1 2 0)
29.3°, 3.053 Å, rel. 36, (2 2 0)
30.7°, 2.908 Å, rel. 100, (0 3 1)
33.7°, 2.657 Å, rel. 28, (1 6 0)
34.3°, 2.612 Å, rel. 37, (2 4 0)
38.9°, 2.317 Å, rel. 30, (2 1 1)
41.6°, 2.169 Å, rel. 28, (2 3 1)
65.7°, 1.421 Å, rel. 28, (4 3 1)



Entry 8:
Y19Ho4Tm6: theoretical powder XRD pattern (λ = 1.5418 Å (Cu Kα)), based on a crystal structure in Alexandria, relaxed with GGA-PBE.
Intensities are scaled so that the largest is 100.

a b c (Å): 12.455 12.455 12.455
angles (deg): 90.00 90.00 90.00
Space group I23 (No. 197)
Unique sites:
Y 0.000 0.000 0.000 x2
Y 0.000 0.000 0.263 x12
Y 0.062 0.267 0.278 x24
Ho 0.178 0.178 0.822 x8
Tm 0.000 0.375 0.500 x12

Principal peaks in the range 2θ = 10–80°, in order of rising 2θ:
22.6°, 3.939 Å, rel. 31, (3 1 0)
26.8°, 3.329 Å, rel. 53, (3 1 2)
28.7°, 3.114 Å, rel. 38, (4 0 0)
30.4°, 2.936 Å, rel. 100, (4 1 1)
35.3°, 2.542 Å, rel. 40, (4 2 2)
36.8°, 2.443 Å, rel. 82, (4 1 3)
42.3°, 2.136 Å, rel. 28, (5 3 0)
60.4°, 1.533 Å, rel. 27, (7 1 4)